No. 1
For NiPbBr6, a PBE-relaxed structure gives the theoretical PXRD pattern in this record (Cu Kα).
Peak positions follow from Bragg's law for the DFT cell and can differ from measured ones.

Top 8 peaks for 2θ from 10° to 80°, low angle first:
| d [Å] | Position (°2θ) | Rel. int. |
| --- | --- | --- |
| 6.109 | 14.5 | 82 |
| 4.967 | 17.9 | 75 |
| 3.834 | 23.2 | 29 |
| 2.867 | 31.2 | 100 |
| 2.718 | 32.9 | 50 |
| 2.223 | 40.6 | 24 |
| 1.973 | 46.0 | 60 |
| 1.657 | 55.5 | 21 |

Cell and atoms:
Lattice parameters (Å, degrees): 6.9844 6.9844 6.7720 98.06 98.06 122.00
Atoms (fractional coordinates):
1 Ni 0.0000 0.0000 0.0000
2 Pb 0.5000 0.5000 0.5000
3 Br 0.0595 0.3423 0.2026
4 Br 0.2489 0.2489 0.7519
5 Br 0.3423 0.0595 0.2026
6 Br 0.6577 0.9405 0.7974
7 Br 0.7511 0.7511 0.2481
8 Br 0.9405 0.6577 0.7974

No. 2
For Ni2PdBr, a PBE-relaxed structure gives the theoretical PXRD pattern in this record (Cu Kα).
Peak positions follow from Bragg's law for the DFT cell and can differ from measured ones.

Top 8 peaks for 2θ from 10° to 80°, low angle first:
| d [Å] | Position (°2θ) | Rel. int. |
| --- | --- | --- |
| 3.431 | 26.0 | 10 |
| 2.641 | 33.9 | 6 |
| 2.426 | 37.1 | 100 |
| 2.287 | 39.4 | 89 |
| 1.715 | 53.4 | 33 |
| 1.664 | 55.2 | 63 |
| 1.372 | 68.4 | 16 |
| 1.213 | 78.9 | 30 |

Cell and atoms:
Lattice parameters (Å, degrees): 5.5011 5.5011 5.5011 102.84 102.84 123.76
Atoms (fractional coordinates):
1 Ni 0.1024 0.6250 0.9774
2 Ni 0.3750 0.3524 0.4774
3 Ni 0.6476 0.1250 0.0226
4 Ni 0.8750 0.8976 0.5226
5 Pd 0.2500 0.7500 0.5000
6 Pd 0.5000 0.5000 0.0000
7 Br 0.0000 0.0000 0.0000
8 Br 0.7500 0.2500 0.5000

No. 3
For TlNiPdBr6, a PBE-relaxed structure gives the theoretical PXRD pattern in this record (Cu Kα).
Peak positions follow from Bragg's law for the DFT cell and can differ from measured ones.

Top 8 peaks for 2θ from 10° to 80°, low angle first:
| d [Å] | Position (°2θ) | Rel. int. |
| --- | --- | --- |
| 4.620 | 19.2 | 68 |
| 4.525 | 19.6 | 63 |
| 4.497 | 19.7 | 61 |
| 3.062 | 29.2 | 30 |
| 3.036 | 29.4 | 56 |
| 2.527 | 35.5 | 47 |
| 2.444 | 36.8 | 100 |
| 1.950 | 46.6 | 43 |

Cell and atoms:
Lattice parameters (Å, degrees): 6.6393 6.6393 7.3294 90.73 90.73 118.19
Atoms (fractional coordinates):
1 Tl 0.0000 0.0000 0.0000
2 Ni 0.6739 0.3261 0.5000
3 Pd 0.3374 0.6626 0.5000
4 Br 0.0012 0.6275 0.3108
5 Br 0.3725 0.9988 0.6892
6 Br 0.3749 0.3688 0.3041
7 Br 0.6312 0.6251 0.6959
8 Br 0.6400 0.0131 0.2891
9 Br 0.9869 0.3600 0.7109

No. 4
For Pm3NiBr, a PBE-relaxed structure gives the theoretical PXRD pattern in this record (Cu Kα).
Peak positions follow from Bragg's law for the DFT cell and can differ from measured ones.

Top 8 peaks for 2θ from 10° to 80°, low angle first:
| d [Å] | Position (°2θ) | Rel. int. |
| --- | --- | --- |
| 7.962 | 11.1 | 52 |
| 3.036 | 29.4 | 75 |
| 2.810 | 31.8 | 100 |
| 2.744 | 32.6 | 30 |
| 2.644 | 33.9 | 89 |
| 2.533 | 35.4 | 33 |
| 2.481 | 36.2 | 26 |
| 1.601 | 57.6 | 25 |

Cell and atoms:
Lattice parameters (Å, degrees): 3.7883 9.8522 7.9622 90.00 90.00 90.00
Atoms (fractional coordinates):
1 Pm 0.2500 0.0723 0.1709
2 Pm 0.2500 0.2500 0.7640
3 Pm 0.2500 0.4277 0.1709
4 Pm 0.7500 0.5723 0.8291
5 Pm 0.7500 0.7500 0.2360
6 Pm 0.7500 0.9277 0.8291
7 Ni 0.2500 0.7500 0.9955
8 Ni 0.7500 0.2500 0.0045
9 Br 0.2500 0.7500 0.5555
10 Br 0.7500 0.2500 0.4445

No. 5
For Pr8NiPt3Br4, a PBE-relaxed structure gives the theoretical PXRD pattern in this record (Cu Kα).
Peak positions follow from Bragg's law for the DFT cell and can differ from measured ones.

Top 8 peaks for 2θ from 10° to 80°, low angle first:
| d [Å] | Position (°2θ) | Rel. int. |
| --- | --- | --- |
| 7.796 | 11.4 | 33 |
| 3.107 | 28.7 | 100 |
| 2.470 | 36.4 | 17 |
| 2.286 | 39.4 | 30 |
| 2.117 | 42.7 | 38 |
| 1.839 | 49.6 | 11 |
| 1.750 | 52.3 | 19 |
| 1.349 | 69.7 | 16 |

Cell and atoms:
Lattice parameters (Å, degrees): 9.2026 9.2026 9.2026 54.79 54.79 54.79
Atoms (fractional coordinates):
1 Pr 0.2331 0.2331 0.2331
2 Pr 0.2395 0.7281 0.7281
3 Pr 0.2719 0.2719 0.7605
4 Pr 0.2719 0.7605 0.2719
5 Pr 0.7281 0.2395 0.7281
6 Pr 0.7281 0.7281 0.2395
7 Pr 0.7605 0.2719 0.2719
8 Pr 0.7669 0.7669 0.7669
9 Ni 0.5000 0.5000 0.5000
10 Pt 0.0000 0.0000 0.5000
11 Pt 0.0000 0.5000 0.0000
12 Pt 0.5000 0.0000 0.0000
13 Br 0.0000 0.0000 0.0000
14 Br 0.0000 0.5000 0.5000
15 Br 0.5000 0.0000 0.5000
16 Br 0.5000 0.5000 0.0000

No. 6
For RbNiBr, a PBE-relaxed structure gives the theoretical PXRD pattern in this record (Cu Kα).
Peak positions follow from Bragg's law for the DFT cell and can differ from measured ones.

Top 8 peaks for 2θ from 10° to 80°, low angle first:
| d [Å] | Position (°2θ) | Rel. int. |
| --- | --- | --- |
| 3.364 | 26.5 | 53 |
| 3.149 | 28.3 | 52 |
| 2.964 | 30.2 | 78 |
| 2.819 | 31.7 | 49 |
| 2.608 | 34.4 | 38 |
| 2.424 | 37.1 | 61 |
| 2.278 | 39.6 | 100 |
| 1.926 | 47.2 | 31 |

Cell and atoms:
Lattice parameters (Å, degrees): 4.6708 4.6708 10.4789 94.84 94.84 48.72
Atoms (fractional coordinates):
1 Rb 0.0000 0.0000 0.0000
2 Rb 0.6538 0.6538 0.4276
3 Ni 0.0130 0.0130 0.6838
4 Ni 0.3344 0.3344 0.6911
5 Br 0.3246 0.3246 0.2050
6 Br 0.6795 0.6795 0.7578